Starting from a DFT-relaxed cell (PBE, the Materials Project), the X-ray powder pattern of Gd8Sb3O8 was calculated for Cu Kα (weighted mean of Kα1 and Kα2).
Neutral-atom scattering factors, no anomalous dispersion.

The 8 most intense peaks (2θ = 15–90°), by angle:
29.5°, intensity 58
29.8°, intensity 55
31.3°, intensity 100
31.8°, intensity 85
41.6°, intensity 22
47.8°, intensity 20
53.0°, intensity 19
53.5°, intensity 18

Atomic structure:
a b c (Å): 13.640 3.804 15.351
angles (deg): 90.00 107.31 90.00
Space group C2 (No. 5)
Inequivalent atoms, fractional coordinates:
Gd  0.044  0.000  0.330 x4
Gd  0.123  0.500  0.153 x4
Gd  0.143  0.000  0.930 x4
Gd  0.220  0.001  0.589 x4
Sb  0.000  0.544  0.500 x2
Sb  0.171  0.499  0.766 x4
O  0.030  0.000  0.132 x4
O  0.117  0.502  0.298 x4
O  0.166  0.500  0.015 x4
O  0.203  0.003  0.434 x4